1.
ZrPd2Pt4: calculated X-ray diffraction stick pattern (a wavelength of 1.5418 Å), based on DFT lattice parameters and positions (GGA-PBE).
No peak broadening, texture or thermal motion is included.

Structural model:
Lattice parameters (Å, degrees): 5.637 5.637 4.794 107.77 107.77 59.10
Atoms (fractional coordinates):
Zr  0.000  0.000  0.000
Pd  0.255  0.255  0.511
Pd  0.745  0.745  0.489
Pt  0.000  0.500  0.000
Pt  0.258  0.742  0.500
Pt  0.500  0.000  0.000
Pt  0.742  0.258  0.500

Main lines, low angle first (5 to 70 degrees two-theta):
d (Å)  2θ/deg  Rel. int.
3.984  22.32  38
2.296  39.24  51
2.280  39.53  100
2.245  40.17  48
1.992  45.54  34
1.959  46.34  64
1.409  66.34  22
1.385  67.64  21

=====

2.
ZrPd2Pt5: calculated X-ray diffraction stick pattern (a wavelength of 1.5418 Å), based on DFT lattice parameters and positions (GGA-PBE).
No peak broadening, texture or thermal motion is included.

Structural model:
Lattice parameters (Å, degrees): 6.961 6.361 4.897 75.12 62.04 42.84
Atoms (fractional coordinates):
Zr  0.000  0.000  0.000
Pd  0.252  0.252  0.748
Pd  0.748  0.748  0.252
Pt  0.126  0.126  0.374
Pt  0.374  0.374  0.126
Pt  0.500  0.500  0.500
Pt  0.626  0.626  0.874
Pt  0.874  0.874  0.626

Main lines, low angle first (5 to 70 degrees two-theta):
d (Å)  2θ/deg  Rel. int.
3.998  22.24  9
2.320  38.81  100
2.309  39.01  99
2.007  45.18  65
1.999  45.37  32
1.424  65.53  11
1.416  65.95  42
1.414  66.08  11

=====

3.
Zr2PdPt9: calculated X-ray diffraction stick pattern (a wavelength of 1.5418 Å), based on DFT lattice parameters and positions (GGA-PBE).
No peak broadening, texture or thermal motion is included.

Structural model:
Lattice parameters (Å, degrees): 4.020 4.020 12.099 90.00 90.00 90.00
Atoms (fractional coordinates):
Zr  0.000  0.000  0.172
Zr  0.000  0.000  0.828
Pd  0.000  0.000  0.500
Pt  0.000  0.500  0.000
Pt  0.000  0.500  0.333
Pt  0.000  0.500  0.667
Pt  0.500  0.000  0.000
Pt  0.500  0.000  0.333
Pt  0.500  0.000  0.667
Pt  0.500  0.500  0.166
Pt  0.500  0.500  0.500
Pt  0.500  0.500  0.834

Main lines, low angle first (5 to 70 degrees two-theta):
d (Å)  2θ/deg  Rel. int.
4.025  22.09  6
2.846  31.44  5
2.324  38.75  100
2.017  44.95  16
2.010  45.10  33
1.643  55.97  2
1.424  65.57  22
1.421  65.69  11

=====

4.
Zr6PdPt: calculated X-ray diffraction stick pattern (a wavelength of 1.5418 Å), based on DFT lattice parameters and positions (GGA-PBE).
No peak broadening, texture or thermal motion is included.

Structural model:
Lattice parameters (Å, degrees): 5.475 5.475 5.475 89.89 89.89 89.89
Atoms (fractional coordinates):
Zr  0.000  0.252  0.500
Zr  0.000  0.748  0.500
Zr  0.252  0.500  0.000
Zr  0.500  0.000  0.252
Zr  0.500  0.000  0.748
Zr  0.748  0.500  0.000
Pd  0.000  0.000  0.000
Pt  0.500  0.500  0.500

Main lines, low angle first (5 to 70 degrees two-theta):
d (Å)  2θ/deg  Rel. int.
3.871  22.97  14
2.737  32.71  55
2.448  36.71  100
2.236  40.34  93
2.233  40.40  31
1.465  63.48  16
1.462  63.62  48
1.369  68.56  20

=====

5.
Pu5Pd3: calculated X-ray diffraction stick pattern (a wavelength of 1.5418 Å), based on DFT lattice parameters and positions (GGA-PBE).
No peak broadening, texture or thermal motion is included.

Structural model:
Lattice parameters (Å, degrees): 8.208 8.208 3.076 90.00 90.00 120.00
Atoms (fractional coordinates):
Pu  0.000  0.756  0.000
Pu  0.244  0.244  0.000
Pu  0.333  0.667  0.000
Pu  0.667  0.333  0.000
Pu  0.756  0.000  0.000
Pd  0.000  0.384  0.500
Pd  0.384  0.000  0.500
Pd  0.616  0.616  0.500

Main lines, low angle first (5 to 70 degrees two-theta):
d (Å)  2θ/deg  Rel. int.
3.076  29.03  27
2.687  33.35  100
2.461  36.51  84
2.370  37.97  45
2.326  38.71  40
2.024  44.79  53
1.441  64.70  29
1.385  67.64  32

=====

6.
Pu4Pd3: calculated X-ray diffraction stick pattern (a wavelength of 1.5418 Å), based on DFT lattice parameters and positions (GGA-PBE).
No peak broadening, texture or thermal motion is included.

Structural model:
Lattice parameters (Å, degrees): 8.493 8.493 8.493 33.70 33.70 33.70
Atoms (fractional coordinates):
Pu  0.121  0.121  0.121
Pu  0.372  0.372  0.372
Pu  0.628  0.628  0.628
Pu  0.879  0.879  0.879
Pd  0.248  0.248  0.248
Pd  0.500  0.500  0.500
Pd  0.752  0.752  0.752

Main lines, low angle first (5 to 70 degrees two-theta):
d (Å)  2θ/deg  Rel. int.
3.476  25.62  56
2.462  36.50  100
2.454  36.61  97
2.009  45.13  13
1.738  52.66  35
1.557  59.37  12
1.420  65.74  54
1.416  65.99  16

=====

7.
Pu8Pd2Rh3: calculated X-ray diffraction stick pattern (a wavelength of 1.5418 Å), based on DFT lattice parameters and positions (GGA-PBE).
No peak broadening, texture or thermal motion is included.

Structural model:
Lattice parameters (Å, degrees): 5.063 7.216 8.006 92.68 98.85 108.36
Atoms (fractional coordinates):
Pu  0.039  0.137  0.334
Pu  0.150  0.378  0.022
Pu  0.246  0.592  0.407
Pu  0.291  0.900  0.114
Pu  0.709  0.100  0.886
Pu  0.754  0.408  0.593
Pu  0.850  0.622  0.978
Pu  0.961  0.863  0.666
Pd  0.373  0.672  0.784
Pd  0.627  0.328  0.216
Rh  0.240  0.253  0.695
Rh  0.500  0.000  0.500
Rh  0.760  0.747  0.305

Main lines, low angle first (5 to 70 degrees two-theta):
d (Å)  2θ/deg  Rel. int.
3.093  28.86  39
2.861  31.26  52
2.498  35.95  71
2.489  36.08  100
2.455  36.60  76
2.422  37.11  96
2.372  37.94  41
2.282  39.49  42

=====

8.
Pu5Pd4Rh2: calculated X-ray diffraction stick pattern (a wavelength of 1.5418 Å), based on DFT lattice parameters and positions (GGA-PBE).
No peak broadening, texture or thermal motion is included.

Structural model:
Lattice parameters (Å, degrees): 7.364 17.112 3.610 90.00 90.00 90.00
Atoms (fractional coordinates):
Pu  0.000  0.000  0.000
Pu  0.121  0.426  0.000
Pu  0.234  0.213  0.000
Pu  0.266  0.713  0.000
Pu  0.379  0.926  0.000
Pu  0.500  0.500  0.000
Pu  0.621  0.074  0.000
Pu  0.734  0.287  0.000
Pu  0.766  0.787  0.000
Pu  0.879  0.574  0.000
Pd  0.084  0.854  0.500
Pd  0.223  0.569  0.500
Pd  0.277  0.069  0.500
Pd  0.416  0.354  0.500
Pd  0.584  0.646  0.500
Pd  0.723  0.931  0.500
Pd  0.777  0.431  0.500
Pd  0.916  0.146  0.500
Rh  0.036  0.305  0.500
Rh  0.464  0.805  0.500
Rh  0.536  0.195  0.500
Rh  0.964  0.695  0.500

Main lines, low angle first (5 to 70 degrees two-theta):
d (Å)  2θ/deg  Rel. int.
3.608  24.68  20
2.583  34.72  100
2.468  36.40  79
2.359  38.14  32
2.352  38.27  63
2.320  38.82  28
2.255  39.99  23
1.805  50.56  28